# Sr3Ca2P3O12F
Simulated X-ray diffraction stick pattern, Cu Ka. Input: a structure optimized by DFT (GGA-PBE).

Largest 10 diffraction maxima, in order of falling intensity, 15 to 90 degrees two-theta:
2θ 30.72, d 2.911, intensity 100.0, hkl 1 1 -3; 2θ 31.00, d 2.884, intensity 49.2, hkl 2 -1 2; 2θ 31.85, d 2.810, intensity 45.1, hkl 0 3 0; 2θ 47.59, d 1.911, intensity 33.6, hkl 3 -1 3; 2θ 45.04, d 2.013, intensity 25.6, hkl 2 2 2; 2θ 24.86, d 3.581, intensity 23.7, hkl 2 0 0; 2θ 28.01, d 3.186, intensity 23.3, hkl 0 3 -2; 2θ 27.05, d 3.296, intensity 21.6, hkl 2 1 0; 2θ 48.78, d 1.867, intensity 18.5, hkl 1 2 -5; 2θ 50.25, d 1.816, intensity 17.0, hkl 2 0 4

a b c (Å): 7.1627 9.7265 9.7304
angles (deg): 119.91 90.06 90.02
Space group P1 (No. 1)
One atom of each set of equivalent atoms:
Sr  0.0000  0.0000  0.0000
Sr  0.9998  0.2310  0.7401
Sr  0.2519  0.5772  0.6577
Sr  0.4988  0.2508  0.2325
Sr  0.7500  0.9111  0.3219
Sr  0.9987  0.4989  0.2332
Ca  0.2497  0.9115  0.3225
Ca  0.4990  0.4938  0.9912
Ca  0.4994  0.9970  0.7353
Ca  0.7489  0.5760  0.6562
P  0.0006  0.2763  0.3933
P  0.0024  0.6126  0.9610
P  0.0021  0.8454  0.6201
P  0.5004  0.6451  0.3599
P  0.5009  0.2107  0.5887
P  0.5018  0.8700  0.0183
O  0.0115  0.0945  0.3287
O  0.0123  0.7342  0.1414
O  0.0118  0.9039  0.4982
O  0.1775  0.3356  0.3463
O  0.1819  0.5088  0.9058
O  0.1820  0.8943  0.7245
O  0.3280  0.9791  0.0691
O  0.3287  0.1590  0.6489
O  0.3287  0.5829  0.2480
O  0.4869  0.1250  0.4044
O  0.4890  0.8297  0.4573
O  0.4902  0.7701  0.1030
O  0.5108  0.3939  0.6637
O  0.5106  0.5734  0.4707
O  0.5126  0.7635  0.8354
O  0.6740  0.5977  0.2497
O  0.6762  0.1458  0.6319
O  0.6771  0.9784  0.0834
O  0.8288  0.3184  0.3249
O  0.8303  0.5020  0.9230
O  0.8305  0.9181  0.7309
O  0.9850  0.3685  0.5774
O  0.9847  0.6610  0.5333
O  0.9848  0.7004  0.8639
F  0.0121  0.2445  0.9945
F  0.5050  0.2441  0.9717

# SrCa4P3O12F
Simulated X-ray diffraction stick pattern, Cu Ka. Input: a structure optimized by DFT (GGA-PBE).

Largest 10 diffraction maxima, in order of falling intensity, 15 to 90 degrees two-theta:
2θ 31.34, d 2.854, intensity 100.0, hkl 2 1 1; 2θ 32.50, d 2.755, intensity 82.4, hkl 3 0 0; 2θ 31.63, d 2.828, intensity 78.7, hkl 1 1 2; 2θ 45.99, d 1.973, intensity 45.1, hkl 2 2 2; 2θ 33.49, d 2.676, intensity 36.5, hkl 2 0 2; 2θ 48.60, d 1.873, intensity 35.8, hkl 2 1 3; 2θ 50.61, d 1.803, intensity 25.6, hkl 4 1 0; 2θ 27.60, d 3.232, intensity 24.6, hkl 1 0 2; 2θ 28.58, d 3.124, intensity 22.9, hkl 2 1 0; 2θ 16.56, d 5.352, intensity 22.0, hkl 1 0 1

a b c (Å): 9.5429 9.5429 7.0241
angles (deg): 90.00 90.00 120.00
Space group P6_3 (No. 173)
One atom of each set of equivalent atoms:
Sr  0.3333  0.6667  0.0000
Ca  0.0012  0.2458  0.2477
Ca  0.3333  0.6667  0.4985
P  0.0280  0.3945  0.7497
O  0.0805  0.3351  0.5728
O  0.0914  0.3472  0.9286
O  0.1137  0.5828  0.7386
O  0.1581  0.6817  0.2599
F  0.0000  0.0000  0.2537